(1)
This entry pairs a crystal structure of Li7Mn2Co3O12 with its theoretical XRD peak list. Radiation: λ = 1.5418 Å (Cu Kα). Structure: DFT lattice parameters and positions (PBE+U).
Peak positions follow from Bragg's law for the DFT cell and can differ from measured ones.

a b c (Å): 7.8964 7.8964 10.3429
angles (deg): 110.46 110.46 21.41
Positions (direct):
Li (0.0000, 0.0000, 0.0000)
Li (0.3340, 0.3340, 0.8535)
Li (0.3357, 0.3357, 0.3590)
Li (0.5014, 0.5014, 0.7718)
Li (0.6690, 0.6690, 0.6957)
Li (0.6730, 0.6730, 0.1739)
Li (0.9965, 0.9965, 0.5448)
Mn (0.1701, 0.1701, 0.4384)
Mn (0.5001, 0.5001, 0.2700)
Co (0.1531, 0.1531, 0.9211)
Co (0.8253, 0.8253, 0.0929)
Co (0.8473, 0.8473, 0.6231)
O (0.0778, 0.0778, 0.2441)
O (0.0910, 0.0910, 0.7376)
O (0.2474, 0.2474, 0.6227)
O (0.2601, 0.2601, 0.1504)
O (0.4096, 0.4096, 0.5590)
O (0.4209, 0.4209, 0.0847)
O (0.5896, 0.5896, 0.9798)
O (0.5916, 0.5916, 0.4642)
O (0.7368, 0.7368, 0.3954)
O (0.7534, 0.7534, 0.9089)
O (0.9089, 0.9089, 0.8046)
O (0.9312, 0.9312, 0.3097)

Peak list (10 most intense, 2θ = 10–90°, in order of rising 2θ)
- d = 4.907 Å, 2θ = 18.1°, I = 100
- d = 2.507 Å, 2θ = 35.8°, I = 36
- d = 2.098 Å, 2θ = 43.1°, I = 57
- d = 2.081 Å, 2θ = 43.5°, I = 25
- d = 1.918 Å, 2θ = 47.4°, I = 8
- d = 1.626 Å, 2θ = 56.6°, I = 10
- d = 1.501 Å, 2θ = 61.8°, I = 7
- d = 1.486 Å, 2θ = 62.5°, I = 15
- d = 1.470 Å, 2θ = 63.3°, I = 12
- d = 1.467 Å, 2θ = 63.4°, I = 8


(2)
This entry pairs a crystal structure of Li4Mn3CoO8 with its theoretical XRD peak list. Radiation: λ = 1.5418 Å (Cu Kα). Structure: DFT lattice parameters and positions (PBE+U).
Peak positions follow from Bragg's law for the DFT cell and can differ from measured ones.

a b c (Å): 5.9567 5.9567 5.0434
angles (deg): 103.84 103.84 62.19
Positions (direct):
Li (0.0000, 0.5000, 0.0000)
Li (0.2478, 0.2478, 0.4950)
Li (0.5000, 0.0000, 0.0000)
Li (0.7522, 0.7522, 0.5050)
Mn (0.2487, 0.7513, 0.5000)
Mn (0.5000, 0.5000, 0.0000)
Mn (0.7513, 0.2487, 0.5000)
Co (0.0000, 0.0000, 0.0000)
O (0.1153, 0.1153, 0.7576)
O (0.1333, 0.6385, 0.7462)
O (0.3615, 0.8667, 0.2538)
O (0.3853, 0.3853, 0.2453)
O (0.6147, 0.6147, 0.7547)
O (0.6385, 0.1333, 0.7462)
O (0.8667, 0.3615, 0.2538)
O (0.8847, 0.8847, 0.2424)

Peak list (10 most intense, 2θ = 10–90°, in order of rising 2θ)
- d = 4.898 Å, 2θ = 18.1°, I = 100
- d = 2.597 Å, 2θ = 34.5°, I = 34
- d = 2.461 Å, 2θ = 36.5°, I = 11
- d = 2.450 Å, 2θ = 36.7°, I = 14
- d = 2.164 Å, 2θ = 41.7°, I = 60
- d = 2.028 Å, 2θ = 44.7°, I = 23
- d = 1.662 Å, 2θ = 55.3°, I = 9
- d = 1.486 Å, 2θ = 62.5°, I = 14
- d = 1.474 Å, 2θ = 63.1°, I = 14
- d = 1.225 Å, 2θ = 78.0°, I = 10


(3)
This entry pairs a crystal structure of Li4MnCo2O7 with its theoretical XRD peak list. Radiation: λ = 1.5418 Å (Cu Kα). Structure: DFT lattice parameters and positions (PBE+U).
Peak positions follow from Bragg's law for the DFT cell and can differ from measured ones.

a b c (Å): 6.4634 6.6268 6.6550
angles (deg): 72.07 72.15 71.52
Positions (direct):
Li (0.0000, 0.0000, 0.0000)
Li (0.0633, 0.6495, 0.7947)
Li (0.2124, 0.9331, 0.3506)
Li (0.3521, 0.2053, 0.9325)
Li (0.5000, 0.5000, 0.5000)
Li (0.6479, 0.7947, 0.0675)
Li (0.7876, 0.0669, 0.6494)
Li (0.9367, 0.3505, 0.2053)
Mn (0.2824, 0.5770, 0.1396)
Mn (0.7176, 0.4230, 0.8604)
Co (0.1465, 0.2801, 0.5748)
Co (0.4160, 0.8631, 0.7221)
Co (0.5840, 0.1369, 0.2779)
Co (0.8535, 0.7199, 0.4252)
O (0.0176, 0.3322, 0.8814)
O (0.1304, 0.9616, 0.6706)
O (0.1766, 0.6031, 0.4381)
O (0.2613, 0.2650, 0.2513)
O (0.3226, 0.8685, 0.0397)
O (0.3990, 0.5388, 0.8431)
O (0.4476, 0.1802, 0.6054)
O (0.5524, 0.8198, 0.3946)
O (0.6010, 0.4612, 0.1569)
O (0.6774, 0.1315, 0.9603)
O (0.7387, 0.7350, 0.7487)
O (0.8234, 0.3969, 0.5619)
O (0.8696, 0.0384, 0.3294)
O (0.9824, 0.6678, 0.1186)

Peak list (10 most intense, 2θ = 10–90°, in order of rising 2θ)
- d = 4.836 Å, 2θ = 18.3°, I = 100
- d = 2.512 Å, 2θ = 35.7°, I = 29
- d = 2.453 Å, 2θ = 36.6°, I = 12
- d = 2.100 Å, 2θ = 43.1°, I = 29
- d = 2.091 Å, 2θ = 43.3°, I = 29
- d = 2.035 Å, 2θ = 44.5°, I = 26
- d = 1.485 Å, 2θ = 62.5°, I = 8
- d = 1.478 Å, 2θ = 62.9°, I = 8
- d = 1.474 Å, 2θ = 63.1°, I = 8
- d = 1.455 Å, 2θ = 64.0°, I = 7


(4)
This entry pairs a crystal structure of Li4MnCo2O7 with its theoretical XRD peak list. Radiation: λ = 1.5418 Å (Cu Kα). Structure: DFT lattice parameters and positions (PBE+U).
Peak positions follow from Bragg's law for the DFT cell and can differ from measured ones.

a b c (Å): 10.7406 10.7406 8.3392
angles (deg): 101.86 101.86 15.64
Positions (direct):
Li (0.0000, 0.0000, 0.0000)
Li (0.0000, 0.0000, 0.5000)
Li (0.1403, 0.1403, 0.5702)
Li (0.2893, 0.2893, 0.1482)
Li (0.4323, 0.4323, 0.7018)
Li (0.5677, 0.5677, 0.2982)
Li (0.7107, 0.7107, 0.8518)
Li (0.8597, 0.8597, 0.4298)
Mn (0.1421, 0.1421, 0.0703)
Mn (0.8579, 0.8579, 0.9297)
Co (0.2851, 0.2851, 0.6365)
Co (0.4326, 0.4326, 0.2401)
Co (0.5674, 0.5674, 0.7599)
Co (0.7149, 0.7149, 0.3635)
O (0.0055, 0.0055, 0.7598)
O (0.1392, 0.1392, 0.8399)
O (0.1484, 0.1484, 0.3100)
O (0.2811, 0.2811, 0.3912)
O (0.2941, 0.2941, 0.8967)
O (0.4192, 0.4192, 0.9578)
O (0.4260, 0.4260, 0.4508)
O (0.5740, 0.5740, 0.5492)
O (0.5808, 0.5808, 0.0422)
O (0.7059, 0.7059, 0.1033)
O (0.7189, 0.7189, 0.6088)
O (0.8516, 0.8516, 0.6900)
O (0.8608, 0.8608, 0.1601)
O (0.9945, 0.9945, 0.2402)

Peak list (10 most intense, 2θ = 10–90°, in order of rising 2θ)
- d = 4.870 Å, 2θ = 18.2°, I = 100
- d = 2.507 Å, 2θ = 35.8°, I = 13
- d = 2.499 Å, 2θ = 35.9°, I = 25
- d = 2.394 Å, 2θ = 37.6°, I = 8
- d = 2.085 Å, 2θ = 43.4°, I = 82
- d = 1.913 Å, 2θ = 47.5°, I = 9
- d = 1.612 Å, 2θ = 57.1°, I = 14
- d = 1.480 Å, 2θ = 62.8°, I = 15
- d = 1.468 Å, 2θ = 63.4°, I = 13
- d = 1.462 Å, 2θ = 63.7°, I = 8


(5)
This entry pairs a crystal structure of Li3MnCoO5 with its theoretical XRD peak list. Radiation: λ = 1.5418 Å (Cu Kα). Structure: DFT lattice parameters and positions (PBE+U).
Peak positions follow from Bragg's law for the DFT cell and can differ from measured ones.

a b c (Å): 6.5434 6.5434 9.8652
angles (deg): 100.64 100.64 25.64
Positions (direct):
Li (0.0000, 0.0000, 0.0000)
Li (0.1924, 0.1924, 0.5882)
Li (0.4017, 0.4017, 0.1998)
Li (0.5016, 0.5016, 0.4983)
Li (0.5960, 0.5960, 0.7789)
Li (0.8051, 0.8051, 0.3989)
Mn (0.6993, 0.6993, 0.0964)
Mn (0.9040, 0.9040, 0.6904)
Co (0.0876, 0.0876, 0.3078)
Co (0.2982, 0.2982, 0.8903)
O (0.0387, 0.0387, 0.6512)
O (0.1560, 0.1560, 0.9634)
O (0.2435, 0.2435, 0.2245)
O (0.3555, 0.3555, 0.5645)
O (0.4420, 0.4420, 0.8300)
O (0.5628, 0.5628, 0.1481)
O (0.6501, 0.6501, 0.4305)
O (0.7577, 0.7577, 0.7491)
O (0.8385, 0.8385, 0.0371)
O (0.9539, 0.9539, 0.3377)

Peak list (10 most intense, 2θ = 10–90°, in order of rising 2θ)
- d = 4.857 Å, 2θ = 18.3°, I = 100
- d = 2.497 Å, 2θ = 36.0°, I = 12
- d = 2.489 Å, 2θ = 36.1°, I = 23
- d = 2.084 Å, 2θ = 43.4°, I = 57
- d = 2.065 Å, 2θ = 43.8°, I = 26
- d = 1.897 Å, 2θ = 48.0°, I = 7
- d = 1.614 Å, 2θ = 57.1°, I = 9
- d = 1.469 Å, 2θ = 63.3°, I = 14
- d = 1.464 Å, 2θ = 63.5°, I = 13
- d = 1.452 Å, 2θ = 64.1°, I = 8


(6)
This entry pairs a crystal structure of Li4MnCo2O7 with its theoretical XRD peak list. Radiation: λ = 1.5418 Å (Cu Kα). Structure: DFT lattice parameters and positions (PBE+U).
Peak positions follow from Bragg's law for the DFT cell and can differ from measured ones.

a b c (Å): 5.0523 6.5524 7.8420
angles (deg): 86.16 77.93 83.39
Positions (direct):
Li (0.0000, 0.0000, 0.0000)
Li (0.0736, 0.8595, 0.3464)
Li (0.2124, 0.5802, 0.0701)
Li (0.3484, 0.2806, 0.7914)
Li (0.5000, 0.0000, 0.5000)
Li (0.6516, 0.7194, 0.2086)
Li (0.7876, 0.4198, 0.9299)
Li (0.9264, 0.1405, 0.6536)
Mn (0.1424, 0.7152, 0.7176)
Mn (0.8576, 0.2848, 0.2824)
Co (0.2861, 0.4274, 0.4259)
Co (0.4319, 0.1360, 0.1340)
Co (0.5681, 0.8640, 0.8660)
Co (0.7139, 0.5726, 0.5741)
O (0.0406, 0.4442, 0.6729)
O (0.1058, 0.2829, 0.0614)
O (0.1631, 0.1652, 0.3880)
O (0.2601, 0.9748, 0.7469)
O (0.3450, 0.8605, 0.1052)
O (0.3786, 0.6987, 0.4814)
O (0.4461, 0.5829, 0.8097)
O (0.5539, 0.4171, 0.1903)
O (0.6214, 0.3013, 0.5186)
O (0.6550, 0.1395, 0.8948)
O (0.7399, 0.0252, 0.2531)
O (0.8369, 0.8348, 0.6120)
O (0.8942, 0.7171, 0.9386)
O (0.9594, 0.5558, 0.3271)

Peak list (10 most intense, 2θ = 10–90°, in order of rising 2θ)
- d = 4.853 Å, 2θ = 18.3°, I = 100
- d = 2.518 Å, 2θ = 35.7°, I = 14
- d = 2.491 Å, 2θ = 36.0°, I = 13
- d = 2.481 Å, 2θ = 36.2°, I = 14
- d = 2.098 Å, 2θ = 43.1°, I = 29
- d = 2.082 Å, 2θ = 43.5°, I = 28
- d = 2.060 Å, 2θ = 44.0°, I = 27
- d = 1.487 Å, 2θ = 62.5°, I = 8
- d = 1.476 Å, 2θ = 63.0°, I = 8
- d = 1.468 Å, 2θ = 63.3°, I = 15


(7)
This entry pairs a crystal structure of Li3MnCoO5 with its theoretical XRD peak list. Radiation: λ = 1.5418 Å (Cu Kα). Structure: DFT lattice parameters and positions (PBE+U).
Peak positions follow from Bragg's law for the DFT cell and can differ from measured ones.

a b c (Å): 2.9799 5.0996 12.5055
angles (deg): 79.26 88.94 75.50
Positions (direct):
Li (0.0000, 0.0000, 0.0000)
Li (0.0867, 0.8176, 0.7039)
Li (0.1911, 0.6156, 0.4001)
Li (0.4083, 0.1903, 0.8002)
Li (0.6059, 0.8009, 0.1985)
Li (0.8337, 0.3868, 0.6126)
Mn (0.5127, 0.9987, 0.5099)
Mn (0.9107, 0.1966, 0.3002)
Co (0.2985, 0.4025, 0.0968)
Co (0.6966, 0.6090, 0.8938)
O (0.0384, 0.8738, 0.8575)
O (0.1207, 0.7437, 0.5474)
O (0.2283, 0.4879, 0.2458)
O (0.3762, 0.3198, 0.9556)
O (0.4501, 0.1080, 0.6420)
O (0.5860, 0.9125, 0.3577)
O (0.6687, 0.6814, 0.0424)
O (0.7553, 0.5012, 0.7695)
O (0.8969, 0.2645, 0.4525)
O (0.9416, 0.1140, 0.1538)

Peak list (10 most intense, 2θ = 10–90°, in order of rising 2θ)
- d = 6.141 Å, 2θ = 14.4°, I = 9
- d = 4.832 Å, 2θ = 18.4°, I = 100
- d = 2.581 Å, 2θ = 34.8°, I = 16
- d = 2.480 Å, 2θ = 36.2°, I = 12
- d = 2.456 Å, 2θ = 36.6°, I = 10
- d = 2.165 Å, 2θ = 41.7°, I = 34
- d = 2.058 Å, 2θ = 44.0°, I = 28
- d = 2.027 Å, 2θ = 44.7°, I = 26
- d = 1.488 Å, 2θ = 62.4°, I = 8
- d = 1.437 Å, 2θ = 64.9°, I = 11


(8)
This entry pairs a crystal structure of Li5Mn2CoO8 with its theoretical XRD peak list. Radiation: λ = 1.5418 Å (Cu Kα). Structure: DFT lattice parameters and positions (PBE+U).
Peak positions follow from Bragg's law for the DFT cell and can differ from measured ones.

a b c (Å): 2.8959 9.7805 10.1974
angles (deg): 79.42 89.03 89.06
Positions (direct):
Li (0.0000, 0.0000, 0.0000)
Li (0.0005, 0.2437, 0.6289)
Li (0.0070, 0.7455, 0.8906)
Li (0.4858, 0.7544, 0.1094)
Li (0.4940, 0.2561, 0.3705)
Li (0.5000, 0.5000, 0.0000)
Li (0.5060, 0.7439, 0.6295)
Li (0.5142, 0.2456, 0.8906)
Li (0.9930, 0.2545, 0.1094)
Li (0.9995, 0.7563, 0.3711)
Mn (0.0076, 0.4912, 0.7605)
Mn (0.4960, 0.0086, 0.2396)
Mn (0.5040, 0.9914, 0.7604)
Mn (0.9924, 0.5088, 0.2395)
Co (0.0000, 0.0000, 0.5000)
Co (0.5000, 0.5000, 0.5000)
O (0.0034, 0.8948, 0.1961)
O (0.0059, 0.3782, 0.9225)
O (0.0132, 0.8852, 0.6905)
O (0.0219, 0.6109, 0.5670)
O (0.4809, 0.8893, 0.4330)
O (0.4828, 0.6146, 0.3096)
O (0.4979, 0.3948, 0.1960)
O (0.4993, 0.1217, 0.0775)
O (0.5007, 0.8783, 0.9225)
O (0.5021, 0.6052, 0.8040)
O (0.5172, 0.3854, 0.6904)
O (0.5191, 0.1107, 0.5670)
O (0.9781, 0.3891, 0.4330)
O (0.9868, 0.1148, 0.3095)
O (0.9941, 0.6218, 0.0775)
O (0.9966, 0.1052, 0.8039)

Peak list (10 most intense, 2θ = 10–90°, in order of rising 2θ)
- d = 5.012 Å, 2θ = 17.7°, I = 10
- d = 4.807 Å, 2θ = 18.5°, I = 100
- d = 4.682 Å, 2θ = 19.0°, I = 13
- d = 2.505 Å, 2θ = 35.8°, I = 25
- d = 2.460 Å, 2θ = 36.5°, I = 12
- d = 2.091 Å, 2θ = 43.3°, I = 33
- d = 2.072 Å, 2θ = 43.7°, I = 30
- d = 2.048 Å, 2θ = 44.2°, I = 30
- d = 1.467 Å, 2θ = 63.4°, I = 9
- d = 1.448 Å, 2θ = 64.4°, I = 9